Pm5Dy2Sc: calculated powder diffraction line list (a wavelength of 1.5418 Å), based on a GGA-PBE-relaxed structure.
Kinematic intensities with the Lorentz-polarization factor, no thermal factor.

The 10 most intense peaks (10 to 90 degrees two-theta), in order of rising 2θ:
2θ (°)  I/Imax  (hkl)
28.40  25  2 0 2
31.16  25  0 4 0
32.49  100  0 2 4
42.67  16  2 4 2
50.30  19  4 0 0
56.30  21  0 6 4
60.36  22  4 4 0
61.16  16  4 2 4
83.04  14  6 2 2
86.47  8  4 8 0

Crystal structure
```
data_Pm5Dy2Sc
_chemical_formula_sum 'Pm20 Dy8 Sc4'
_cell_length_a 7.260
_cell_length_b 11.480
_cell_length_c 12.562
_cell_angle_alpha 90.00
_cell_angle_beta 90.00
_cell_angle_gamma 90.00
_space_group_name_H-M_alt 'F m m 2'
_space_group_IT_number 42
_space_group_name_Hall 'F 2 -2'
loop_
_atom_site_label
_atom_site_fract_x
_atom_site_fract_y
_atom_site_fract_z
Pm1 0.000 0.000 0.000
Pm2 0.247 0.000 0.754
Pm3 0.250 0.250 0.084
Dy1 0.000 0.244 0.338
Sc1 0.000 0.000 0.502
```



Dy3Zn3Si: calculated powder diffraction line list (a wavelength of 1.5418 Å), based on a GGA-PBE-relaxed structure.
Kinematic intensities with the Lorentz-polarization factor, no thermal factor.

The 10 most intense peaks (10 to 90 degrees two-theta), in order of rising 2θ:
2θ (°)  I/Imax  (hkl)
25.73  34  0 1 3
28.62  22  0 0 6
32.61  100  1 1 2
32.89  61  1 0 5
36.71  26  1 1 4
40.08  32  0 1 7
43.48  25  0 2 0
45.73  22  2 0 0
55.57  27  1 2 5
76.16  21  1 2 11

Crystal structure
```
data_Dy3Zn3Si
_chemical_formula_sum 'Dy6 Zn6 Si2'
_cell_length_a 3.968
_cell_length_b 4.163
_cell_length_c 18.716
_cell_angle_alpha 90.00
_cell_angle_beta 90.00
_cell_angle_gamma 90.00
_space_group_name_H-M_alt 'I m m 2'
_space_group_IT_number 44
_space_group_name_Hall 'I 2 -2'
loop_
_atom_site_label
_atom_site_fract_x
_atom_site_fract_y
_atom_site_fract_z
Dy1 0.000 0.000 0.000
Dy2 0.000 0.000 0.374
Dy3 0.000 0.500 0.197
Zn1 0.000 0.000 0.549
Zn2 0.000 0.000 0.830
Zn3 0.000 0.500 0.625
Si1 0.000 0.500 0.755
```



BaSbPb2Au2: calculated powder diffraction line list (a wavelength of 1.5418 Å), based on a GGA-PBE-relaxed structure.
Kinematic intensities with the Lorentz-polarization factor, no thermal factor.

The 10 most intense peaks (10 to 90 degrees two-theta), in order of rising 2θ:
2θ (°)  I/Imax  (hkl)
13.99  77  0 0 2
26.28  41  1 1 2
28.20  51  0 0 4
31.47  100  2 0 0
34.59  38  2 0 2
42.76  68  2 0 4
45.10  38  2 2 0
54.05  38  2 2 4
74.65  17  4 2 0
81.61  23  4 2 4

Crystal structure
```
data_BaSbPb2Au2
_chemical_formula_sum 'Ba2 Sb2 Pb4 Au4'
_cell_length_a 5.686
_cell_length_b 5.686
_cell_length_c 12.657
_cell_angle_alpha 90.00
_cell_angle_beta 90.00
_cell_angle_gamma 90.00
_space_group_name_H-M_alt 'I 4/m m m'
_space_group_IT_number 139
_space_group_name_Hall '-I 4 2'
loop_
_atom_site_label
_atom_site_fract_x
_atom_site_fract_y
_atom_site_fract_z
Ba1 0.000 0.000 0.000
Sb1 0.000 0.000 0.500
Pb1 0.000 0.500 0.250
Au1 0.000 0.000 0.283
```



Bi4O5: calculated powder diffraction line list (a wavelength of 1.5418 Å), based on a GGA-PBE-relaxed structure.
Kinematic intensities with the Lorentz-polarization factor, no thermal factor.

The 10 most intense peaks (10 to 90 degrees two-theta), in order of rising 2θ:
2θ (°)  I/Imax  (hkl)
25.91  15  3 1 0
26.12  100  2 2 -1
29.26  96  2 2 1
30.16  25  0 4 0
32.89  38  0 0 2
33.24  22  4 0 0
43.36  16  4 0 -2
45.23  19  0 4 2
52.96  17  2 2 -3
53.41  17  6 2 -1

Crystal structure
```
data_Bi4O5
_chemical_formula_sum 'Bi16 O20'
_cell_length_a 10.916
_cell_length_b 11.853
_cell_length_c 5.514
_cell_angle_alpha 90.00
_cell_angle_beta 99.05
_cell_angle_gamma 90.00
_space_group_name_H-M_alt 'C 1 c 1'
_space_group_IT_number 9
_space_group_name_Hall 'C -2yc'
loop_
_atom_site_label
_atom_site_fract_x
_atom_site_fract_y
_atom_site_fract_z
Bi1 0.000 0.094 0.000
Bi2 0.222 0.405 0.059
Bi3 0.278 0.122 0.520
Bi4 0.472 0.166 0.032
O1 0.092 0.073 0.671
O2 0.129 0.436 0.379
O3 0.358 0.041 0.185
O4 0.361 0.279 0.288
O5 0.363 0.481 0.780
```



RbSb3Pt3: calculated powder diffraction line list (a wavelength of 1.5418 Å), based on a GGA-PBE-relaxed structure.
Kinematic intensities with the Lorentz-polarization factor, no thermal factor.

The 10 most intense peaks (10 to 90 degrees two-theta), in order of rising 2θ:
2θ (°)  I/Imax  (hkl)
16.90  60  1 1 0
23.98  42  2 0 0
29.48  100  2 1 1
42.18  58  2 2 2
45.75  60  3 2 1
49.11  40  4 0 0
69.36  17  5 2 1
71.98  26  4 4 0
79.64  18  6 1 1
87.11  22  6 2 2

Crystal structure
```
data_RbSb3Pt3
_chemical_formula_sum 'Rb2 Sb6 Pt6'
_cell_length_a 7.421
_cell_length_b 7.421
_cell_length_c 7.421
_cell_angle_alpha 90.00
_cell_angle_beta 90.00
_cell_angle_gamma 90.00
_space_group_name_H-M_alt 'P m -3 n'
_space_group_IT_number 223
_space_group_name_Hall '-P 4n 2 3'
loop_
_atom_site_label
_atom_site_fract_x
_atom_site_fract_y
_atom_site_fract_z
Rb1 0.000 0.000 0.000
Sb1 0.000 0.250 0.500
Pt1 0.000 0.500 0.250
```



Ba3TmNb2O9: calculated powder diffraction line list (a wavelength of 1.5418 Å), based on a GGA-PBE-relaxed structure.
Kinematic intensities with the Lorentz-polarization factor, no thermal factor.

The 10 most intense peaks (10 to 90 degrees two-theta), in order of rising 2θ:
2θ (°)  I/Imax  (hkl)
17.17  2  1 0 0
21.07  1  0 1 1
29.96  100  1 1 0
36.92  3  0 2 1
42.89  30  2 0 2
53.20  40  3 0 0
62.27  19  2 2 0
70.63  18  2 1 4
78.58  6  0 4 2
86.31  21  2 3 2

Crystal structure
```
data_Ba3TmNb2O9
_chemical_formula_sum 'Ba3 Tm1 Nb2 O9'
_cell_length_a 5.9631
_cell_length_b 5.9631
_cell_length_c 7.3076
_cell_angle_alpha 90.00
_cell_angle_beta 90.00
_cell_angle_gamma 120.00
_space_group_name_H-M_alt 'P -3 m 1'
_space_group_IT_number 164
_space_group_name_Hall '-P 3 2"'
loop_
_atom_site_label
_atom_site_fract_x
_atom_site_fract_y
_atom_site_fract_z
Ba1 0.0000 0.0000 0.0000
Ba2 0.3333 0.6667 0.6686
Tm1 0.0000 0.0000 0.5000
Nb1 0.3333 0.6667 0.1655
O1 0.0000 0.5000 0.0000
O2 0.1734 0.3467 0.3222
```



ErSiMo: calculated powder diffraction line list (a wavelength of 1.5418 Å), based on a GGA-PBE-relaxed structure.
Kinematic intensities with the Lorentz-polarization factor, no thermal factor.

The 10 most intense peaks (10 to 90 degrees two-theta), in order of rising 2θ:
2θ (°)  I/Imax  (hkl)
24.61  23  1 2 0
27.11  11  1 0 1
33.30  21  2 0 1
35.14  100  2 1 1
40.27  20  2 2 1
46.28  12  4 1 0
50.71  10  0 0 2
54.46  11  3 3 1
56.92  9  4 3 0
63.16  12  1 3 2

Crystal structure
```
data_ErSiMo
_chemical_formula_sum 'Er4 Si4 Mo4'
_cell_length_a 8.089
_cell_length_b 8.089
_cell_length_c 3.600
_cell_angle_alpha 90.00
_cell_angle_beta 90.00
_cell_angle_gamma 90.00
_space_group_name_H-M_alt 'P 42/m'
_space_group_IT_number 84
_space_group_name_Hall '-P 4c'
loop_
_atom_site_label
_atom_site_fract_x
_atom_site_fract_y
_atom_site_fract_z
Er1 0.089 0.733 0.000
Si1 0.139 0.447 0.500
Mo1 0.348 0.388 0.000
```



In4SeS3: calculated powder diffraction line list (a wavelength of 1.5418 Å), based on a GGA-PBE-relaxed structure.
Kinematic intensities with the Lorentz-polarization factor, no thermal factor.

The 10 most intense peaks (10 to 90 degrees two-theta), in order of rising 2θ:
2θ (°)  I/Imax  (hkl)
18.28  26  0 2 0
22.75  100  0 2 1
24.01  100  2 1 0
27.06  89  0 0 2
27.61  62  2 1 1
35.65  67  2 3 0
36.48  50  2 1 2
45.27  53  4 0 0
45.32  53  2 3 2
48.15  34  2 1 3

Crystal structure
```
data_In4SeS3
_chemical_formula_sum 'In8 Se2 S6'
_cell_length_a 8.022
_cell_length_b 9.707
_cell_length_c 6.590
_cell_angle_alpha 90.00
_cell_angle_beta 90.00
_cell_angle_gamma 90.00
_space_group_name_H-M_alt 'P m n 21'
_space_group_IT_number 31
_space_group_name_Hall 'P 2ac -2'
loop_
_atom_site_label
_atom_site_fract_x
_atom_site_fract_y
_atom_site_fract_z
In1 0.000 0.122 0.000
In2 0.000 0.866 0.510
In3 0.224 0.338 0.530
Se1 0.000 0.862 0.108
S1 0.000 0.112 0.617
S2 0.244 0.266 0.103
```



Q: Number 1 is which compound?
A: Pm5Dy2Sc